# 1
For Hf4Mg2Ta, a GGA-PBE-relaxed structure gives the computed XRD peak list in this record (copper Kα).
Kinematic intensities with the Lorentz-polarization factor, no thermal factor.

The 6 most intense peaks (10 to 80 degrees two-theta), in order of rising 2θ:
- 33.29°, d 2.691, I = 44
- 34.68°, d 2.587, I = 100
- 36.40°, d 2.468, I = 87
- 38.10°, d 2.362, I = 31
- 41.31°, d 2.186, I = 89
- 59.79°, d 1.547, I = 60

Cell: 3.1035 32.7785 3.0926 Å, 90.00 90.00 90.00°
Space group Cmmm (No. 65)
Symmetry-distinct sites (fractional):
Hf 0.0000 0.0657 0.0000 [4 per cell]
Hf 0.0000 0.3674 0.5000 [4 per cell]
Mg 0.0000 0.2075 0.0000 [4 per cell]
Ta 0.0000 0.5000 0.5000 [2 per cell]

# 2
For Y6Au7, a GGA-PBE-relaxed structure gives the computed XRD peak list in this record (copper Kα).
Kinematic intensities with the Lorentz-polarization factor, no thermal factor.

The 6 most intense peaks (10 to 80 degrees two-theta), in order of rising 2θ:
- 17.25°, d 5.142, I = 57
- 34.90°, d 2.571, I = 54
- 35.44°, d 2.533, I = 100
- 35.74°, d 2.512, I = 64
- 38.59°, d 2.333, I = 99
- 41.26°, d 2.188, I = 58

Cell: 5.8209 5.8209 30.8503 Å, 90.00 90.00 120.00°
Space group R-3m (No. 166, hexagonal axes)
Symmetry-distinct sites (fractional):
Y 0.0000 0.0000 0.0536 [6 per cell]
Y 0.0000 0.0000 0.1628 [6 per cell]
Y 0.0000 0.0000 0.3299 [6 per cell]
Au 0.0000 0.0000 0.5000 [3 per cell]
Au 0.0041 0.5021 0.0886 [18 per cell]

# 3
For Pa2HO5F, a GGA-PBE-relaxed structure gives the computed XRD peak list in this record (copper Kα).
Kinematic intensities with the Lorentz-polarization factor, no thermal factor.

The 6 most intense peaks (10 to 80 degrees two-theta), in order of rising 2θ:
- 17.59°, d 5.042, I = 100
- 30.29°, d 2.951, I = 35
- 32.43°, d 2.761, I = 44
- 35.24°, d 2.547, I = 67
- 47.43°, d 1.917, I = 39
- 60.71°, d 1.525, I = 27

Cell: 6.5986 6.5986 5.0424 Å, 90.00 90.00 90.00°
Space group P4/mbm (No. 127)
Symmetry-distinct sites (fractional):
Pa 0.1843 0.3157 0.0000 [4 per cell]
H 0.0000 0.5000 0.5000 [2 per cell]
O 0.0000 0.0000 0.0000 [2 per cell]
O 0.1262 0.6262 0.2438 [8 per cell]
F 0.0000 0.0000 0.5000 [2 per cell]

# 4
For Pr4FeS7, a GGA-PBE-relaxed structure gives the computed XRD peak list in this record (copper Kα).
Kinematic intensities with the Lorentz-polarization factor, no thermal factor.

The 6 most intense peaks (10 to 80 degrees two-theta), in order of rising 2θ:
- 23.47°, d 3.791, I = 100
- 23.99°, d 3.709, I = 47
- 33.13°, d 2.704, I = 27
- 34.22°, d 2.621, I = 36
- 39.65°, d 2.273, I = 30
- 44.33°, d 2.043, I = 21

Cell: 9.5862 6.8627 9.8879 Å, 90.00 113.09 90.00°
Space group P2_1 (No. 4)
Symmetry-distinct sites (fractional):
Pr 0.1049 0.0000 0.3513 [2 per cell]
Pr 0.1520 0.0389 0.8654 [2 per cell]
Pr 0.2635 0.5577 0.1387 [2 per cell]
Pr 0.3590 0.4621 0.6164 [2 per cell]
Fe 0.4705 0.7861 0.9278 [2 per cell]
S 0.0211 0.8436 0.0660 [2 per cell]
S 0.0901 0.2309 0.5969 [2 per cell]
S 0.1453 0.3953 0.3228 [2 per cell]
S 0.2329 0.6481 0.8230 [2 per cell]
S 0.3687 0.1516 0.1612 [2 per cell]
S 0.3821 0.7841 0.4251 [2 per cell]
S 0.4417 0.1250 0.8471 [2 per cell]

# 5
For Pm7Tl3C2, a GGA-PBE-relaxed structure gives the computed XRD peak list in this record (copper Kα).
Kinematic intensities with the Lorentz-polarization factor, no thermal factor.

The 6 most intense peaks (10 to 80 degrees two-theta), in order of rising 2θ:
- 28.38°, d 3.145, I = 45
- 32.43°, d 2.761, I = 100
- 35.22°, d 2.548, I = 62
- 50.35°, d 1.812, I = 28
- 50.66°, d 1.802, I = 22
- 61.45°, d 1.509, I = 33

Cell: 5.0962 5.0962 25.7799 Å, 90.00 90.00 90.00°
Space group I4/mmm (No. 139)
Symmetry-distinct sites (fractional):
Pm 0.0000 0.0000 0.0000 [2 per cell]
Pm 0.0000 0.0000 0.1976 [4 per cell]
Pm 0.0000 0.5000 0.0966 [8 per cell]
Tl 0.0000 0.0000 0.3225 [4 per cell]
Tl 0.0000 0.0000 0.5000 [2 per cell]
C 0.0000 0.0000 0.1015 [4 per cell]

# 6
For Pm4NdS6, a GGA-PBE-relaxed structure gives the computed XRD peak list in this record (copper Kα).
Kinematic intensities with the Lorentz-polarization factor, no thermal factor.

The 6 most intense peaks (10 to 80 degrees two-theta), in order of rising 2θ:
- 25.67°, d 3.470, I = 100
- 26.89°, d 3.316, I = 75
- 30.60°, d 2.922, I = 32
- 31.56°, d 2.835, I = 80
- 33.09°, d 2.707, I = 54
- 42.80°, d 2.113, I = 39

Cell: 3.9601 13.2875 20.3470 Å, 90.00 90.00 90.00°
Space group Cmcm (No. 63)
Symmetry-distinct sites (fractional):
Pm 0.0000 0.0912 0.1285 [8 per cell]
Pm 0.0000 0.3608 0.0403 [8 per cell]
Nd 0.0000 0.1539 0.7500 [4 per cell]
S 0.0000 0.0000 0.0000 [4 per cell]
S 0.0000 0.1925 0.2500 [4 per cell]
S 0.0000 0.2694 0.5902 [8 per cell]
S 0.0000 0.4492 0.1679 [8 per cell]

# 7
For InAgIr2, a GGA-PBE-relaxed structure gives the computed XRD peak list in this record (copper Kα).
Kinematic intensities with the Lorentz-polarization factor, no thermal factor.

The 6 most intense peaks (10 to 80 degrees two-theta), in order of rising 2θ:
- 37.99°, d 2.369, I = 49
- 38.14°, d 2.360, I = 100
- 39.31°, d 2.292, I = 46
- 44.30°, d 2.045, I = 67
- 45.29°, d 2.002, I = 28
- 78.88°, d 1.214, I = 21

Cell: 9.3567 2.9208 5.0066 Å, 90.00 101.54 90.00°
Space group Cm (No. 8)
Symmetry-distinct sites (fractional):
In 0.0000 0.0000 0.0000 [2 per cell]
Ag 0.2589 0.5000 0.2347 [2 per cell]
Ir 0.0180 0.5000 0.5209 [2 per cell]
Ir 0.2538 0.0000 0.7128 [2 per cell]

# 8
For TaCoMoOs, a GGA-PBE-relaxed structure gives the computed XRD peak list in this record (copper Kα).
Kinematic intensities with the Lorentz-polarization factor, no thermal factor.

The 6 most intense peaks (10 to 80 degrees two-theta), in order of rising 2θ:
- 19.91°, d 4.459, I = 44
- 39.81°, d 2.265, I = 100
- 40.45°, d 2.230, I = 96
- 45.25°, d 2.004, I = 69
- 49.43°, d 1.844, I = 27
- 69.24°, d 1.357, I = 39

Cell: 4.6289 2.8691 4.6320 Å, 90.00 105.59 90.00°
Space group P2/m (No. 10)
Symmetry-distinct sites (fractional):
Ta 0.0000 0.0000 0.0000 [1 per cell]
Co 0.5000 0.5000 0.0000 [1 per cell]
Mo 0.5000 0.0000 0.5000 [1 per cell]
Os 0.0000 0.5000 0.5000 [1 per cell]

# 9
For Nb5Os, a GGA-PBE-relaxed structure gives the computed XRD peak list in this record (copper Kα).
Kinematic intensities with the Lorentz-polarization factor, no thermal factor.

The 6 most intense peaks (10 to 80 degrees two-theta), in order of rising 2θ:
- 38.92°, d 2.314, I = 100
- 39.08°, d 2.305, I = 50
- 55.96°, d 1.643, I = 8
- 56.46°, d 1.630, I = 17
- 70.36°, d 1.338, I = 17
- 70.69°, d 1.333, I = 34

Cell: 3.2598 3.2598 9.8588 Å, 90.00 90.00 90.00°
Space group P4/mmm (No. 123)
Symmetry-distinct sites (fractional):
Nb 0.0000 0.0000 0.0000 [1 per cell]
Nb 0.0000 0.0000 0.3398 [2 per cell]
Nb 0.5000 0.5000 0.1685 [2 per cell]
Os 0.5000 0.5000 0.5000 [1 per cell]

# 10
For CsAc2PdO5, a GGA-PBE-relaxed structure gives the computed XRD peak list in this record (copper Kα).
Kinematic intensities with the Lorentz-polarization factor, no thermal factor.

The 6 most intense peaks (10 to 80 degrees two-theta), in order of rising 2θ:
- 28.43°, d 3.139, I = 100
- 28.64°, d 3.117, I = 24
- 35.07°, d 2.559, I = 33
- 45.84°, d 1.979, I = 29
- 52.49°, d 1.743, I = 19
- 56.76°, d 1.622, I = 15

Cell: 7.2604 7.2604 12.4695 Å, 90.00 90.00 90.00°
Space group I4/mcm (No. 140)
Symmetry-distinct sites (fractional):
Cs 0.0000 0.0000 0.2500 [4 per cell]
Ac 0.1799 0.3201 0.0000 [8 per cell]
Pd 0.0000 0.5000 0.2500 [4 per cell]
O 0.0000 0.0000 0.0000 [4 per cell]
O 0.1255 0.3745 0.3788 [16 per cell]